This entry pairs a crystal structure of Zn8H with its simulated powder diffractogram. Radiation: Cu Kα. Structure: the GGA-PBE geometry in Alexandria.
Lines closer than 0.1° are merged.

Top 10 peaks for 2θ = 10–80°, low angle first:
Position (°2θ), d (Å), Rel. int., h k l
33.30, 2.691, 43.6, 0 0 2
38.90, 2.315, 2.6, 0 1 2
39.65, 2.273, 21.6, 2 0 0
43.21, 2.094, 100.0, 2 0 1
52.72, 1.736, 18.1, 0 2 2
62.74, 1.481, 1.6, 1 1 3
66.39, 1.408, 22.4, 2 0 3
69.93, 1.345, 3.6, 0 0 4
71.95, 1.312, 13.6, 2 2 0
73.40, 1.290, 1.3, 0 1 4

Crystal structure
abc: 5.2495 5.2495 5.3811
angles: 90.00 90.00 120.00
Atoms (fractional coordinates):
Zn 0.1677 0.3354 0.2284
Zn 0.1677 0.8323 0.2284
Zn 0.3333 0.6667 0.7281
Zn 0.3354 0.1677 0.7716
Zn 0.6646 0.8323 0.2284
Zn 0.6667 0.3333 0.2719
Zn 0.8323 0.1677 0.7716
Zn 0.8323 0.6646 0.7716
H 0.0000 0.0000 0.5000